Diffraction record for TlV6PSe7. The X-ray powder pattern is theoretical, not measured: it uses a crystal structure in Alexandria, relaxed with GGA-PBE and CuKα.

Peak list (10 most intense, 10 to 90 degrees two-theta, in order of falling intensity)
(3 1 0), 39.19 deg, intensity 100.0; (3 0 0), 32.40 deg, intensity 90.5; (1 0 1), 28.51 deg, intensity 42.3; (2 0 1), 34.24 deg, intensity 38.1; (2 2 1), 46.49 deg, intensity 32.4; (5 -3 1), 55.42 deg, intensity 27.6; (8 -3 1), 87.21 deg, intensity 19.9; (0 3 2), 64.66 deg, intensity 18.9; (3 3 0), 57.78 deg, intensity 16.0; (4 -3 2), 68.99 deg, intensity 15.3

Cell lengths 9.5765, 9.5765, 3.3777 Å; angles 90.00, 90.00, 120.00 degrees
Space group P3 (No. 143)
One atom of each set of equivalent atoms:
1 Tl 0.0000 0.0000 0.0000
2 V 0.1312 0.5081 0.5057
3 V 0.4870 0.3682 0.0054
4 P 0.3333 0.6667 0.0057
5 Se 0.0529 0.7165 0.5053
6 Se 0.3480 0.0452 0.0057
7 Se 0.6667 0.3333 0.5054